Starting from a cell relaxed with PBE+U, the powder diffraction line list of Cu6Mo5O18 was computed for λ = 1.5418 Å (Cu Kα).
Neutral-atom scattering factors, no anomalous dispersion.

Most intense lines, 2θ = 10–80°, in order of rising 2θ:
2θ = 24.1°, I 26; 2θ = 27.7°, I 65; 2θ = 29.3°, I 32; 2θ = 29.8°, I 36; 2θ = 29.9°, I 42; 2θ = 30.3°, I 100; 2θ = 30.5°, I 25; 2θ = 33.1°, I 29; 2θ = 53.1°, I 27; 2θ = 63.5°, I 26

Atomic structure:
a = 10.0174 Å, b = 10.0174 Å, c = 14.9691 Å
α = 125.70°, β = 125.70°, γ = 36.77°
Fractional coordinates of all 58 atoms:
Cu  0.0125  0.7499  0.8393
Cu  0.1074  0.2103  0.9122
Cu  0.1652  0.4086  0.1494
Cu  0.2103  0.1074  0.4122
Cu  0.2501  0.9875  0.6607
Cu  0.4086  0.1652  0.6494
Cu  0.5914  0.8348  0.3506
Cu  0.7499  0.0125  0.3393
Cu  0.7897  0.8926  0.5878
Cu  0.8348  0.5914  0.8506
Cu  0.8926  0.7897  0.0878
Cu  0.9875  0.2501  0.1607
Mo  0.1914  0.4506  0.4092
Mo  0.3185  0.6815  0.7500
Mo  0.3298  0.6588  0.4044
Mo  0.3412  0.6702  0.0956
Mo  0.4506  0.1914  0.9092
Mo  0.5494  0.8086  0.0908
Mo  0.6588  0.3298  0.9044
Mo  0.6702  0.3412  0.5956
Mo  0.6815  0.3185  0.2500
Mo  0.8086  0.5494  0.5908
O  0.0609  0.7758  0.7350
O  0.0796  0.3576  0.5625
O  0.0810  0.7469  0.4062
O  0.0811  0.7912  0.0911
O  0.1208  0.3845  0.2551
O  0.1746  0.3529  0.9231
O  0.2088  0.9189  0.4089
O  0.2242  0.9391  0.7650
O  0.2531  0.9190  0.0938
O  0.3314  0.5078  0.9277
O  0.3322  0.5376  0.5897
O  0.3397  0.5013  0.2516
O  0.3529  0.1746  0.4231
O  0.3576  0.0796  0.0625
O  0.3845  0.1208  0.7551
O  0.4624  0.6678  0.9103
O  0.4922  0.6686  0.5723
O  0.4987  0.6603  0.2484
O  0.5013  0.3397  0.7516
O  0.5078  0.3314  0.4277
O  0.5376  0.3322  0.0897
O  0.6155  0.8792  0.2449
O  0.6424  0.9204  0.9375
O  0.6471  0.8254  0.5769
O  0.6603  0.4987  0.7484
O  0.6678  0.4624  0.4103
O  0.6686  0.4922  0.0723
O  0.7469  0.0810  0.9062
O  0.7758  0.0609  0.2350
O  0.7912  0.0811  0.5911
O  0.8254  0.6471  0.0769
O  0.8792  0.6155  0.7449
O  0.9189  0.2088  0.9089
O  0.9190  0.2531  0.5938
O  0.9204  0.6424  0.4375
O  0.9391  0.2242  0.2650